For TlGaTcO6, a GGA-PBE-relaxed structure gives the simulated XRD peak list in this record (Cu Kα (weighted mean of Kα1 and Kα2)).
No peak broadening, texture or thermal motion is included.

Peak list (10 most intense, 15 to 90 degrees two-theta, by angle)
index  Position (°2θ)  I_rel
1 0 0  19.68  125
1 0 1  27.07  1000
1 1 0  34.44  339
2 0 1  44.34  252
2 -1 2  51.67  342
3 -1 1  57.32  248
1 0 3  61.24  97
3 0 0  61.69  112
3 1 1  79.08  100
2 1 3  82.49  88

Cell and atoms:
```
data_TlGaTcO6
_cell_length_a 5.2087
_cell_length_b 5.2087
_cell_length_c 4.8204
_cell_angle_alpha 90.00
_cell_angle_beta 90.00
_cell_angle_gamma 120.00
_symmetry_space_group_name_H-M 'P 3 1 2'
_symmetry_Int_Tables_number 149
loop_
_symmetry_equiv_pos_as_xyz
'x,y,z'
'-y,x-y,z'
'-x+y,-x,z'
'-y,-x,-z'
'-x+y,y,-z'
'x,x-y,-z'
loop_
_atom_site_label
_atom_site_type_symbol
_atom_site_fract_x
_atom_site_fract_y
_atom_site_fract_z
Tl1 Tl 0.0000 0.0000 0.0000
Ga1 Ga 0.3333 0.6667 0.5000
Tc1 Tc 0.6667 0.3333 0.5000
O1 O 0.3786 0.0100 0.7214
```


For Cs2PmMnSe4, a GGA-PBE-relaxed structure gives the simulated XRD peak list in this record (Cu Kα (weighted mean of Kα1 and Kα2)).
No peak broadening, texture or thermal motion is included.

Peak list (10 most intense, 15 to 90 degrees two-theta, by angle)
index  Position (°2θ)  I_rel
0 2 2  24.31  130
2 2 0  28.14  1000
2 1 3  30.72  133
0 3 3  36.81  112
4 0 0  40.22  654
2 4 2  47.55  151
4 0 4  49.80  206
6 2 0  65.85  199
6 2 4  73.09  138
0 6 6  78.33  104

Cell and atoms:
```
data_Cs2PmMnSe4
_cell_length_a 8.9695
_cell_length_b 8.9749
_cell_length_c 12.6786
_cell_angle_alpha 90.00
_cell_angle_beta 90.00
_cell_angle_gamma 90.00
_symmetry_space_group_name_H-M 'I m m a'
_symmetry_Int_Tables_number 74
_symmetry_space_group_name_Hall '-I 2b 2'
loop_
_atom_site_label
_atom_site_type_symbol
_atom_site_fract_x
_atom_site_fract_y
_atom_site_fract_z
Cs1 Cs 0.0000 0.0000 0.0000
Cs2 Cs 0.2500 0.2500 0.2500
Pm1 Pm 0.0000 0.0000 0.5000
Mn1 Mn 0.2500 0.2500 0.7500
Se1 Se 0.0000 0.0605 0.7336
Se2 Se 0.2146 0.2500 0.5314
```


For BaPa2PdS8, a GGA-PBE-relaxed structure gives the simulated XRD peak list in this record (Cu Kα (weighted mean of Kα1 and Kα2)).
No peak broadening, texture or thermal motion is included.

Peak list (10 most intense, 15 to 90 degrees two-theta, by angle)
index  Position (°2θ)  I_rel
0 1 1  19.70  746
1 0 2  27.30  498
1 1 0  28.67  1000
2 0 1  35.03  568
1 1 2  36.21  307
1 0 3  36.82  335
0 2 2  40.01  491
1 0 4  47.36  448
2 0 4  56.30  367
2 2 0  59.37  232

Cell and atoms:
```
data_BaPa2PdS8
_cell_length_a 6.2263
_cell_length_b 6.2263
_cell_length_c 8.2117
_cell_angle_alpha 90.00
_cell_angle_beta 90.00
_cell_angle_gamma 120.00
_symmetry_space_group_name_H-M 'P -3 m 1'
_symmetry_Int_Tables_number 164
_symmetry_space_group_name_Hall '-P 3 2"'
loop_
_atom_site_label
_atom_site_type_symbol
_atom_site_fract_x
_atom_site_fract_y
_atom_site_fract_z
Ba1 Ba 0.0000 0.0000 0.0000
Pa1 Pa 0.3333 0.6667 0.3874
Pd1 Pd 0.0000 0.0000 0.5000
S1 S 0.1775 0.3550 0.6649
S2 S 0.3333 0.6667 0.0885
```


For Mg3Ga8Ni3, a GGA-PBE-relaxed structure gives the simulated XRD peak list in this record (Cu Kα (weighted mean of Kα1 and Kα2)).
No peak broadening, texture or thermal motion is included.

Peak list (10 most intense, 15 to 90 degrees two-theta, by angle)
index  Position (°2θ)  I_rel
0 2 0  17.94  361
1 1 0  23.73  435
1 3 0  35.10  403
1 2 3  37.08  780
1 3 2  38.55  357
1 1 4  39.54  309
1 4 1  43.62  400
2 0 0  44.74  608
0 5 1  46.61  321
1 3 4  47.63  1000

Cell and atoms:
```
data_Mg3Ga8Ni3
_cell_length_a 4.0513
_cell_length_b 9.8864
_cell_length_c 11.4848
_cell_angle_alpha 90.00
_cell_angle_beta 90.00
_cell_angle_gamma 90.00
_symmetry_space_group_name_H-M 'I m m m'
_symmetry_Int_Tables_number 71
_symmetry_space_group_name_Hall '-I 2 2'
loop_
_atom_site_label
_atom_site_type_symbol
_atom_site_fract_x
_atom_site_fract_y
_atom_site_fract_z
Mg1 Mg 0.0000 0.0000 0.0000
Mg2 Mg 0.0000 0.0000 0.3226
Ga1 Ga 0.0000 0.2986 0.1248
Ga2 Ga 0.0000 0.3685 0.3510
Ni1 Ni 0.0000 0.1799 0.5000
Ni2 Ni 0.0000 0.5000 0.0000
```


For TbCe3Nd4Se8, a GGA-PBE-relaxed structure gives the simulated XRD peak list in this record (Cu Kα (weighted mean of Kα1 and Kα2)).
No peak broadening, texture or thermal motion is included.

Peak list (10 most intense, 15 to 90 degrees two-theta, by angle)
index  Position (°2θ)  I_rel
0 0 6  25.96  158
0 2 4  30.06  1000
2 2 0  43.04  745
0 2 10  50.95  79
4 0 4  53.39  263
0 4 8  62.49  122
2 0 14  68.84  32
2 4 4  70.90  335
6 0 0  78.89  250
0 0 18  84.73  25

Cell and atoms:
```
data_TbCe3Nd4Se8
_cell_length_a 8.4059
_cell_length_b 8.4059
_cell_length_c 20.5983
_cell_angle_alpha 90.00
_cell_angle_beta 90.00
_cell_angle_gamma 120.00
_symmetry_space_group_name_H-M 'R -3 m'
_symmetry_Int_Tables_number 166
_symmetry_space_group_name_Hall '-R 3 2"'
loop_
_atom_site_label
_atom_site_type_symbol
_atom_site_fract_x
_atom_site_fract_y
_atom_site_fract_z
Tb1 Tb 0.0000 0.0000 0.0000
Ce1 Ce 0.0000 0.5000 0.0000
Nd1 Nd 0.0000 0.0000 0.5000
Nd2 Nd 0.0000 0.5000 0.5000
Se1 Se 0.0000 0.0000 0.2508
Se2 Se 0.0043 0.5021 0.7480
```


For PaGaCo4H6, a GGA-PBE-relaxed structure gives the simulated XRD peak list in this record (Cu Kα (weighted mean of Kα1 and Kα2)).
No peak broadening, texture or thermal motion is included.

Peak list (10 most intense, 15 to 90 degrees two-theta, by angle)
index  Position (°2θ)  I_rel
1 0 0  24.24  283
1 0 1  27.94  567
1 0 2  37.02  1000
0 0 3  41.86  116
1 1 0  42.66  675
2 0 1  51.76  113
2 0 2  57.74  270
1 1 3  61.30  229
1 0 4  62.73  144
2 1 2  74.38  256

Cell and atoms:
```
data_PaGaCo4H6
_cell_length_a 4.2393
_cell_length_b 4.2393
_cell_length_c 6.4746
_cell_angle_alpha 90.00
_cell_angle_beta 90.00
_cell_angle_gamma 120.00
_symmetry_space_group_name_H-M 'P 6/m m m'
_symmetry_Int_Tables_number 191
_symmetry_space_group_name_Hall '-P 6 2'
loop_
_atom_site_label
_atom_site_type_symbol
_atom_site_fract_x
_atom_site_fract_y
_atom_site_fract_z
Pa1 Pa 0.0000 0.0000 0.0000
Ga1 Ga 0.0000 0.0000 0.5000
Co1 Co 0.3333 0.6667 0.3164
H1 H 0.0000 0.5000 0.1492
```


For Ac4YTl2, a GGA-PBE-relaxed structure gives the simulated XRD peak list in this record (Cu Kα (weighted mean of Kα1 and Kα2)).
No peak broadening, texture or thermal motion is included.

Peak list (10 most intense, 15 to 90 degrees two-theta, by angle)
index  Position (°2θ)  I_rel
0 1 3  27.95  1000
2 0 0  28.49  560
2 2 2  28.71  524
2 0 2  29.39  653
2 2 0  29.52  868
0 1 -3  30.50  496
2 1 -1  30.71  980
0 2 -2  31.30  573
-1 2 1  33.52  806
1 3 2  33.69  823

Cell and atoms:
```
data_Ac4YTl2
_cell_length_a 7.1556
_cell_length_b 8.3581
_cell_length_c 10.6888
_cell_angle_alpha 76.27
_cell_angle_beta 70.68
_cell_angle_gamma 65.17
_symmetry_space_group_name_H-M 'P 1'
_symmetry_Int_Tables_number 1
loop_
_symmetry_equiv_pos_as_xyz
'x,y,z'
loop_
_atom_site_label
_atom_site_type_symbol
_atom_site_fract_x
_atom_site_fract_y
_atom_site_fract_z
Ac1 Ac 0.0000 0.0000 0.0000
Ac2 Ac 0.0016 0.0651 0.3868
Ac3 Ac 0.0141 0.5162 0.4798
Ac4 Ac 0.4419 0.0365 0.6140
Ac5 Ac 0.4478 0.5835 0.5239
Ac6 Ac 0.4538 0.0789 0.0373
Ac7 Ac 0.5403 0.5557 0.9045
Ac8 Ac 0.8988 0.5166 0.1356
Y1 Y 0.1482 0.3869 0.8097
Y2 Y 0.7947 0.2028 0.7105
Tl1 Tl 0.3089 0.7124 0.2083
Tl2 Tl 0.5126 0.2936 0.2621
Tl3 Tl 0.6677 0.8747 0.3106
Tl4 Tl 0.9293 0.7948 0.7581
```


For RbBe2C, a GGA-PBE-relaxed structure gives the simulated XRD peak list in this record (Cu Kα (weighted mean of Kα1 and Kα2)).
No peak broadening, texture or thermal motion is included.

Peak list (10 most intense, 15 to 90 degrees two-theta, by angle)
index  Position (°2θ)  I_rel
1 0 1  19.29  703
1 1 2  31.43  1000
2 0 0  32.42  459
1 0 3  36.28  253
2 1 1  38.00  444
2 2 0  46.50  122
2 1 3  49.43  137
2 0 4  55.33  183
3 1 2  57.21  330
2 2 4  65.61  137

Cell and atoms:
```
data_RbBe2C
_cell_length_a 5.5238
_cell_length_b 5.5238
_cell_length_c 8.3103
_cell_angle_alpha 90.00
_cell_angle_beta 90.00
_cell_angle_gamma 90.00
_symmetry_space_group_name_H-M 'I 41/a m d'
_symmetry_Int_Tables_number 141
loop_
_symmetry_equiv_pos_as_xyz
'x,y,z'
'-x,-y,-z'
'-y+1/4,x+3/4,z+1/4'
'y+1/4,-x+3/4,-z+1/4'
'-x+1/2,-y,z+1/2'
'x+1/2,y,-z+1/2'
'y+1/4,-x+1/4,z+3/4'
'-y+1/4,x+1/4,-z+3/4'
'x,-y,-z'
'-x,y,z'
'-y+1/4,-x+1/4,-z+3/4'
'y+1/4,x+1/4,z+3/4'
'-x+1/2,y,-z+1/2'
'x+1/2,-y,z+1/2'
'y+1/4,x+3/4,-z+1/4'
'-y+1/4,-x+3/4,z+1/4'
'x+1/2,y+1/2,z+1/2'
'-x+1/2,-y+1/2,-z+1/2'
'-y+3/4,x+1/4,z+3/4'
'y+3/4,-x+1/4,-z+3/4'
'-x,-y+1/2,z'
'x,y+1/2,-z'
'y+3/4,-x+3/4,z+1/4'
'-y+3/4,x+3/4,-z+1/4'
'x+1/2,-y+1/2,-z+1/2'
'-x+1/2,y+1/2,z+1/2'
'-y+3/4,-x+3/4,-z+1/4'
'y+3/4,x+3/4,z+1/4'
'-x,y+1/2,-z'
'x,-y+1/2,z'
'y+3/4,x+1/4,-z+3/4'
'-y+3/4,-x+1/4,z+3/4'
loop_
_atom_site_label
_atom_site_type_symbol
_atom_site_fract_x
_atom_site_fract_y
_atom_site_fract_z
Rb1 Rb 0.0000 0.2500 0.3750
Be1 Be 0.0000 0.0000 0.0000
C1 C 0.0000 0.2500 0.8750
```


For Zr3Ga3Ir2, a GGA-PBE-relaxed structure gives the simulated XRD peak list in this record (Cu Kα (weighted mean of Kα1 and Kα2)).
No peak broadening, texture or thermal motion is included.

Peak list (10 most intense, 15 to 90 degrees two-theta, by angle)
index  Position (°2θ)  I_rel
0 1 1  17.55  364
1 0 1  19.89  311
2 4 0  34.59  991
1 1 2  35.59  819
3 0 1  38.23  441
2 4 1  38.47  1000
1 3 2  40.23  883
3 3 1  43.12  351
1 4 2  43.95  560
4 0 1  49.41  386

Cell and atoms:
```
data_Zr3Ga3Ir2
_cell_length_a 7.8448
_cell_length_b 13.8281
_cell_length_c 5.4302
_cell_angle_alpha 90.00
_cell_angle_beta 90.00
_cell_angle_gamma 90.00
_symmetry_space_group_name_H-M 'P n m a'
_symmetry_Int_Tables_number 62
loop_
_symmetry_equiv_pos_as_xyz
'x,y,z'
'-x,-y,-z'
'-x+1/2,-y,z+1/2'
'x+1/2,y,-z+1/2'
'x+1/2,-y+1/2,-z+1/2'
'-x+1/2,y+1/2,z+1/2'
'-x,y+1/2,-z'
'x,-y+1/2,z'
loop_
_atom_site_label
_atom_site_type_symbol
_atom_site_fract_x
_atom_site_fract_y
_atom_site_fract_z
Zr1 Zr 0.0316 0.1136 0.1195
Zr2 Zr 0.1813 0.2500 0.6452
Ga1 Ga 0.1894 0.7500 0.6481
Ga2 Ga 0.1954 0.0311 0.6005
Ir1 Ir 0.0870 0.6141 0.3593
```


For NbCl3F, a GGA-PBE-relaxed structure gives the simulated XRD peak list in this record (Cu Kα (weighted mean of Kα1 and Kα2)).
No peak broadening, texture or thermal motion is included.

Peak list (10 most intense, 15 to 90 degrees two-theta, by angle)
index  Position (°2θ)  I_rel
1 1 0  17.57  918
1 1 -1  18.69  1000
1 0 -2  19.15  269
1 2 1  28.75  310
1 0 -4  32.67  318
2 2 -1  35.87  332
1 2 3  37.07  550
2 0 -4  38.85  484
2 1 -5  47.06  416
3 1 3  49.85  299

Cell and atoms:
```
data_NbCl3F
_cell_length_a 6.9308
_cell_length_b 7.4114
_cell_length_c 11.5021
_cell_angle_alpha 90.00
_cell_angle_beta 95.69
_cell_angle_gamma 90.00
_symmetry_space_group_name_H-M 'P 1 2/c 1'
_symmetry_Int_Tables_number 13
loop_
_symmetry_equiv_pos_as_xyz
'x,y,z'
'-x,-y,-z'
'-x,y,-z+1/2'
'x,-y,z+1/2'
loop_
_atom_site_label
_atom_site_type_symbol
_atom_site_fract_x
_atom_site_fract_y
_atom_site_fract_z
Nb1 Nb 0.0638 0.1505 0.3632
Cl1 Cl 0.1415 0.1456 0.9664
Cl2 Cl 0.1948 0.3599 0.2019
Cl3 Cl 0.3097 0.2944 0.4792
F1 F 0.1755 0.0059 0.7410
```